Structure and calculated powder XRD pattern of AcPm4NdSe8 (DFT lattice parameters and positions (GGA-PBE); CuKα).
Neutral-atom scattering factors, no anomalous dispersion.

Principal peaks in the range 2θ from 15° to 90°, low angle first:
Position (°2θ)  d (Å)  intensity  hkl
20.3  4.371  36  1 0 4
23.9  3.727  100  1 1 3
28.9  3.090  38  0 2 4
35.6  2.523  17  2 1 4
37.8  2.379  56  0 2 7
41.3  2.185  99  2 2 0
48.3  1.884  12  4 0 1
57.2  1.611  9  1 0 13
57.3  1.608  16  4 0 7
59.9  1.545  16  0 4 8
65.4  1.426  10  5 0 5
75.4  1.261  23  6 0 0

Crystal structure
```
data_AcPm4NdSe8
_chemical_formula_sum 'Ac3 Pm12 Nd3 Se24'
_space_group_name_H-M_alt 'R 3 m'
_space_group_IT_number 160
_space_group_name_Hall 'R 3 -2"'
_cell_length_a 8.7331
_cell_length_b 8.7331
_cell_length_c 21.4498
_cell_angle_alpha 90.00
_cell_angle_beta 90.00
_cell_angle_gamma 120.00
loop_
_atom_site_label
_atom_site_type_symbol
_atom_site_fract_x
_atom_site_fract_y
_atom_site_fract_z
Ac1 Ac 0.0000 0.0000 0.0000
Pm1 Pm 0.0000 0.0000 0.7493
Pm2 Pm 0.1697 0.3395 0.2071
Nd1 Nd 0.0000 0.0000 0.3768
Se1 Se 0.0000 0.0000 0.1377
Se2 Se 0.0000 0.0000 0.6178
Se3 Se 0.0161 0.5080 0.1274
Se4 Se 0.1832 0.3664 0.9530
```